Theoretical X-ray powder pattern of PmDy5Tm5 for a wavelength of 1.5418 Å, from the PBE geometry in Alexandria.

Atomic structure:
```
11
Lattice="6.7828 0.0000 0.0000 2.0565 6.6185 0.0000 1.8697 1.4526 7.9001" Properties=species:S:1:pos:R:3 pbc="T T T"
Pm 0.0000 0.0000 0.0000
Dy 1.0283 3.3092 0.0000
Dy 3.0328 4.6912 2.8317
Dy 4.9912 6.0230 5.1829
Dy 5.7179 2.0480 2.7172
Dy 7.6762 3.3798 5.0684
Tm 2.3107 1.3747 2.5051
Tm 4.2508 2.6998 5.6481
Tm 4.4196 3.3092 0.0000
Tm 6.4582 5.3712 2.2520
Tm 8.3983 6.6963 5.3950
```

Top 8 peaks for 2θ from 10° to 90°, low angle first:
- (0 2 -1), d = 2.834 Å, rel. 61
- (2 0 -1), d = 2.800 Å, rel. 100
- (0 2 2), d = 2.768 Å, rel. 98
- (2 2 1), d = 2.756 Å, rel. 72
- (2 0 2), d = 2.717 Å, rel. 76
- (1 -2 0), d = 2.639 Å, rel. 28
- (0 0 3), d = 2.633 Å, rel. 67
- (2 2 4), d = 1.858 Å, rel. 22